(1)
Simulated X-ray powder pattern
Compound: CeBeB4
Radiation: Cu Kα X-rays
Structure: a crystal structure in Alexandria, relaxed with GGA-PBE
No peak broadening, texture or thermal motion is included.

Main lines, low angle first (10 to 90 degrees two-theta):
2θ (°)  Rel. int.
16.8  48
21.6  79
25.5  44
27.8  45
31.2  75
33.6  65
38.0  51
40.7  100

a = 5.925 Å, b = 11.476 Å, c = 3.496 Å
α = 90.00°, β = 90.00°, γ = 90.00°
Fractional coordinates of all 24 atoms:
Ce  0.126  0.150  0.000
Ce  0.374  0.650  0.000
Ce  0.626  0.350  0.000
Ce  0.874  0.850  0.000
Be  0.133  0.413  0.000
Be  0.367  0.913  0.000
Be  0.633  0.087  0.000
Be  0.867  0.587  0.000
B  0.027  0.691  0.500
B  0.111  0.545  0.500
B  0.138  0.967  0.500
B  0.217  0.814  0.500
B  0.283  0.314  0.500
B  0.362  0.467  0.500
B  0.389  0.045  0.500
B  0.473  0.191  0.500
B  0.527  0.809  0.500
B  0.611  0.955  0.500
B  0.638  0.533  0.500
B  0.717  0.686  0.500
B  0.783  0.186  0.500
B  0.862  0.033  0.500
B  0.889  0.455  0.500
B  0.973  0.309  0.500



(2)
Simulated X-ray powder pattern
Compound: Be2CoB2
Radiation: Cu Kα X-rays
Structure: a crystal structure in Alexandria, relaxed with GGA-PBE
No peak broadening, texture or thermal motion is included.

Main lines, low angle first (10 to 90 degrees two-theta):
2θ (°)  Rel. int.
24.0  100
33.1  39
34.2  52
41.3  59
48.3  60
49.2  25
55.4  39
66.1  33

a = 5.242 Å, b = 5.242 Å, c = 2.710 Å
α = 90.00°, β = 90.00°, γ = 90.00°
Fractional coordinates of all 10 atoms:
Be  0.181  0.319  0.000
Be  0.319  0.819  0.000
Be  0.681  0.181  0.000
Be  0.819  0.681  0.000
Co  0.000  0.000  0.500
Co  0.500  0.500  0.500
B  0.113  0.613  0.500
B  0.387  0.113  0.500
B  0.613  0.887  0.500
B  0.887  0.387  0.500



(3)
Simulated X-ray powder pattern
Compound: DyBe2Co2B
Radiation: Cu Kα X-rays
Structure: a crystal structure in Alexandria, relaxed with GGA-PBE
No peak broadening, texture or thermal motion is included.

Main lines, low angle first (10 to 90 degrees two-theta):
2θ (°)  Rel. int.
23.6  54
29.4  59
34.8  33
38.0  100
42.5  31
48.3  30
60.9  25
64.5  20

a = 3.766 Å, b = 3.766 Å, c = 5.161 Å
α = 90.00°, β = 90.00°, γ = 90.00°
Fractional coordinates of all 6 atoms:
Dy  0.000  0.000  0.000
Be  0.500  0.500  0.248
Be  0.500  0.500  0.752
Co  0.000  0.500  0.500
Co  0.500  0.000  0.500
B  0.000  0.000  0.500



(4)
Simulated X-ray powder pattern
Compound: Er2BeCo6B
Radiation: Cu Kα X-rays
Structure: a crystal structure in Alexandria, relaxed with GGA-PBE
No peak broadening, texture or thermal motion is included.

Main lines, low angle first (10 to 90 degrees two-theta):
2θ (°)  Rel. int.
22.3  23
31.7  27
39.1  100
45.5  52
51.2  12
56.5  11
66.3  32
79.8  34

a = 5.639 Å, b = 5.639 Å, c = 5.639 Å
α = 60.00°, β = 60.00°, γ = 60.00°
Fractional coordinates of all 10 atoms:
Er  0.250  0.250  0.250
Er  0.750  0.750  0.750
Be  0.000  0.000  0.000
Co  0.257  0.257  0.743
Co  0.257  0.743  0.257
Co  0.257  0.743  0.743
Co  0.743  0.257  0.257
Co  0.743  0.257  0.743
Co  0.743  0.743  0.257
B  0.500  0.500  0.500